No. 1
This entry pairs a crystal structure of SrCu3Mo4O12 with its theoretical X-ray powder pattern. Radiation: λ = 1.5418 Å (Cu Kα). Structure: a GGA+U-relaxed structure.
Peak positions follow from Bragg's law for the DFT cell and can differ from measured ones.

Cell lengths 7.720, 7.720, 7.720 Å; angles 90.00, 90.00, 90.00 degrees
Space group Im-3 (No. 204)
Inequivalent atoms, fractional coordinates:
Sr 0.000 0.000 0.000 (multiplicity 2)
Cu 0.000 0.000 0.500 (multiplicity 6)
Mo 0.250 0.250 0.250 (multiplicity 8)
O 0.000 0.173 0.306 (multiplicity 24)

Most intense lines, 2θ = 5–70°, low angle first:
h k l, 2theta, intensity
2 0 0, 23.0, 5
2 2 0, 32.8, 100
3 1 0, 36.8, 3
3 2 1, 43.9, 2
4 0 0, 47.1, 24
4 0 2, 53.0, 2
4 2 2, 58.6, 47
4 4 0, 68.8, 13

***

No. 2
This entry pairs a crystal structure of Sr10Cu5Mo3W2O30 with its theoretical X-ray powder pattern. Radiation: λ = 1.5418 Å (Cu Kα). Structure: a GGA+U-relaxed structure.
Peak positions follow from Bragg's law for the DFT cell and can differ from measured ones.

Cell lengths 5.436, 5.815, 23.252 Å; angles 89.18, 83.29, 62.14 degrees
Space group P-1 (No. 2)
Inequivalent atoms, fractional coordinates:
Sr 0.050 0.050 0.350 (multiplicity 2)
Sr 0.150 0.150 0.050 (multiplicity 2)
Sr 0.250 0.251 0.749 (multiplicity 2)
Sr 0.350 0.350 0.450 (multiplicity 2)
Sr 0.450 0.449 0.151 (multiplicity 2)
Cu 0.100 0.099 0.201 (multiplicity 2)
Cu 0.300 0.300 0.600 (multiplicity 2)
Cu 0.500 0.500 0.000 (multiplicity 1)
Mo 0.000 0.000 0.500 (multiplicity 1)
Mo 0.400 0.399 0.300 (multiplicity 2)
W 0.200 0.201 0.900 (multiplicity 2)
O 0.022 0.516 0.340 (multiplicity 2)
O 0.067 0.514 0.855 (multiplicity 2)
O 0.075 0.181 0.560 (multiplicity 2)
O 0.126 0.021 0.839 (multiplicity 2)
O 0.135 0.687 0.545 (multiplicity 2)
O 0.179 0.681 0.062 (multiplicity 2)
O 0.222 0.717 0.739 (multiplicity 2)
O 0.265 0.712 0.256 (multiplicity 2)
O 0.275 0.380 0.960 (multiplicity 2)
O 0.324 0.219 0.241 (multiplicity 2)
O 0.333 0.887 0.944 (multiplicity 2)
O 0.378 0.883 0.461 (multiplicity 2)
O 0.421 0.917 0.139 (multiplicity 2)
O 0.465 0.913 0.655 (multiplicity 2)
O 0.475 0.581 0.360 (multiplicity 2)

Most intense lines, 2θ = 5–70°, low angle first:
h k l, 2theta, intensity
1 0 2, 19.2, 13
1 2 1, 31.0, 100
2 1 1, 33.0, 48
0 2 -6, 41.4, 21
2 2 8, 47.3, 26
0 3 1, 53.9, 23
3 0 1, 57.6, 34
2 4 2, 64.6, 14
1 4 -5, 69.0, 11
4 2 2, 69.1, 7

***

No. 3
This entry pairs a crystal structure of Sr10Cu5Mo4WO30 with its theoretical X-ray powder pattern. Radiation: λ = 1.5418 Å (Cu Kα). Structure: a GGA+U-relaxed structure.
Peak positions follow from Bragg's law for the DFT cell and can differ from measured ones.

Cell lengths 7.707, 8.647, 19.652 Å; angles 90.00, 101.31, 90.00 degrees
Space group C2/m (No. 12)
Inequivalent atoms, fractional coordinates:
Sr 0.000 0.250 0.000 (multiplicity 4)
Sr 0.100 0.250 0.200 (multiplicity 8)
Sr 0.200 0.250 0.399 (multiplicity 8)
Cu 0.000 0.000 0.500 (multiplicity 2)
Cu 0.100 0.500 0.700 (multiplicity 4)
Cu 0.200 0.000 0.900 (multiplicity 4)
Mo 0.100 0.000 0.700 (multiplicity 4)
Mo 0.200 0.500 0.900 (multiplicity 4)
W 0.000 0.500 0.500 (multiplicity 2)
O 0.000 0.274 0.500 (multiplicity 4)
O 0.001 0.000 0.399 (multiplicity 4)
O 0.037 0.500 0.079 (multiplicity 4)
O 0.063 0.000 0.120 (multiplicity 4)
O 0.099 0.500 0.801 (multiplicity 4)
O 0.100 0.226 0.700 (multiplicity 8)
O 0.102 0.500 0.599 (multiplicity 4)
O 0.137 0.000 0.279 (multiplicity 4)
O 0.163 0.500 0.320 (multiplicity 4)
O 0.199 0.000 0.001 (multiplicity 4)
O 0.200 0.274 0.900 (multiplicity 8)
O 0.201 0.000 0.799 (multiplicity 4)
O 0.237 0.500 0.479 (multiplicity 4)

Most intense lines, 2θ = 5–70°, low angle first:
h k l, 2theta, intensity
1 1 2, 19.3, 9
0 2 5, 31.1, 100
2 0 4, 32.9, 49
0 4 0, 41.8, 22
0 0 10, 47.2, 27
2 4 4, 54.2, 22
2 2 9, 57.6, 39
0 4 10, 64.8, 19
4 0 8, 68.9, 7
0 6 5, 69.7, 11

***

No. 4
This entry pairs a crystal structure of Sr2YCu2MoO7 with its theoretical X-ray powder pattern. Radiation: λ = 1.5418 Å (Cu Kα). Structure: a GGA+U-relaxed structure.
Peak positions follow from Bragg's law for the DFT cell and can differ from measured ones.

Cell lengths 7.760, 23.787, 5.542 Å; angles 90.00, 134.27, 90.00 degrees
Space group Cm (No. 8)
Inequivalent atoms, fractional coordinates:
Sr 0.000 0.105 0.000 (multiplicity 4)
Sr 0.457 0.109 0.953 (multiplicity 4)
Y 0.499 0.252 0.012 (multiplicity 4)
Cu 0.488 0.313 0.496 (multiplicity 4)
Cu 0.493 0.187 0.501 (multiplicity 4)
Mo 0.082 0.500 0.512 (multiplicity 2)
Mo 0.382 0.500 0.404 (multiplicity 2)
O 0.024 0.074 0.563 (multiplicity 4)
O 0.024 0.500 0.073 (multiplicity 2)
O 0.215 0.183 0.446 (multiplicity 4)
O 0.216 0.314 0.999 (multiplicity 4)
O 0.263 0.189 0.998 (multiplicity 4)
O 0.267 0.311 0.552 (multiplicity 4)
O 0.369 0.500 0.013 (multiplicity 2)
O 0.484 0.075 0.457 (multiplicity 4)

Most intense lines, 2θ = 5–70°, low angle first:
h k l, 2theta, intensity
0 2 0, 7.4, 19
0 4 1, 27.0, 11
0 6 1, 31.9, 42
2 0 -2, 32.3, 100
0 10 0, 37.8, 30
2 8 -1, 38.1, 21
0 0 2, 45.7, 22
4 0 -2, 46.8, 13
2 6 -3, 57.1, 10
4 8 -1, 61.6, 10

***

No. 5
This entry pairs a crystal structure of ZnCuMo2O8 with its theoretical X-ray powder pattern. Radiation: λ = 1.5418 Å (Cu Kα). Structure: a GGA+U-relaxed structure.
Peak positions follow from Bragg's law for the DFT cell and can differ from measured ones.

Cell lengths 6.294, 6.294, 8.233 Å; angles 90.00, 90.00, 90.00 degrees
Space group I-4m2 (No. 119)
Inequivalent atoms, fractional coordinates:
Zn 0.000 0.000 0.000 (multiplicity 2)
Cu 0.000 0.500 0.750 (multiplicity 2)
Mo 0.000 0.000 0.500 (multiplicity 2)
Mo 0.000 0.500 0.250 (multiplicity 2)
O 0.000 0.234 0.626 (multiplicity 8)
O 0.000 0.266 0.125 (multiplicity 8)

Most intense lines, 2θ = 5–70°, low angle first:
h k l, 2theta, intensity
2 0 0, 28.4, 56
1 1 2, 29.6, 100
2 0 2, 35.9, 9
2 2 0, 40.5, 8
3 1 2, 51.0, 42
2 0 4, 53.2, 18
4 0 0, 58.7, 12
2 2 4, 61.4, 20
4 2 0, 66.4, 9
3 3 2, 67.1, 9